Structure and theoretical powder X-ray diffraction pattern of Tb2InPb9 (DFT lattice parameters and positions (GGA-PBE); Cu Kα X-rays).
Intensities are scaled so that the largest is 100.

```
Tb2InPb9
1.0
4.800 0.000 0.000
0.000 4.800 0.000
0.000 0.000 15.475
Tb In Pb
2 1 9
Cartesian
0.000 0.000 2.349 Tb
0.000 0.000 13.125 Tb
0.000 0.000 7.737 In
0.000 2.400 0.000 Pb
0.000 2.400 5.097 Pb
0.000 2.400 10.377 Pb
2.400 0.000 0.000 Pb
2.400 0.000 5.097 Pb
2.400 0.000 10.377 Pb
2.400 2.400 2.605 Pb
2.400 2.400 7.737 Pb
2.400 2.400 12.869 Pb
```

Largest 8 diffraction maxima, in order of rising 2θ, 15° ≤ 2θ ≤ 90°:
2θ 31.55, d = 2.835 Å, rel. 100; 2θ 34.78, d = 2.579 Å, rel. 19; 2θ 37.47, d = 2.400 Å, rel. 32; 2θ 52.05, d = 1.757 Å, rel. 24; 2θ 60.35, d = 1.534 Å, rel. 15; 2θ 63.93, d = 1.456 Å, rel. 27; 2θ 65.88, d = 1.418 Å, rel. 12; 2θ 85.29, d = 1.138 Å, rel. 12

***

Structure and theoretical powder X-ray diffraction pattern of K2VPdSe4 (DFT lattice parameters and positions (GGA-PBE); Cu Kα X-rays).
Intensities are scaled so that the largest is 100.

```
K2VPdSe4
1.0
0.000 6.777 11.532
2.907 0.000 11.532
2.907 6.777 0.000
K V Pd Se
4 2 2 8
Cartesian
2.180 5.083 1.254 K
3.634 8.472 7.020 K
2.180 5.083 16.044 K
3.634 8.472 21.810 K
2.180 5.083 8.649 V
3.634 8.472 14.415 V
0.727 1.694 2.883 Pd
5.088 11.860 20.180 Pd
2.325 3.092 4.218 Se
3.489 6.481 9.983 Se
2.035 7.074 4.218 Se
2.035 3.092 13.080 Se
3.779 10.463 9.983 Se
3.779 6.481 18.846 Se
2.325 7.074 13.080 Se
3.489 10.463 18.846 Se
```

Largest 8 diffraction maxima, in order of rising 2θ, 15° ≤ 2θ ≤ 90°:
2θ 15.16, d = 5.843 Å, rel. 100; 2θ 15.37, d = 5.766 Å, rel. 54; 2θ 25.26, d = 3.526 Å, rel. 46; 2θ 27.56, d = 3.236 Å, rel. 61; 2θ 31.71, d = 2.822 Å, rel. 98; 2θ 38.84, d = 2.319 Å, rel. 52; 2θ 41.67, d = 2.167 Å, rel. 52; 2θ 50.50, d = 1.807 Å, rel. 47

***

Structure and theoretical powder X-ray diffraction pattern of Sr2Hg3Sb (DFT lattice parameters and positions (GGA-PBE); Cu Kα X-rays).
Intensities are scaled so that the largest is 100.

```
Sr2Hg3Sb
1.0
0.000 5.082 8.765
4.033 0.000 8.765
4.033 5.082 0.000
Sr Hg Sb
4 6 2
Cartesian
6.076 5.082 8.765 Sr
2.017 2.541 4.383 Sr
6.050 7.623 13.148 Sr
1.990 5.082 8.765 Sr
4.033 5.082 2.872 Hg
4.033 2.527 7.338 Hg
4.033 2.527 10.193 Hg
4.033 7.637 7.338 Hg
4.033 7.637 10.193 Hg
4.033 5.082 14.659 Hg
4.033 5.082 5.838 Sb
4.033 5.082 11.693 Sb
```

Largest 8 diffraction maxima, in order of rising 2θ, 15° ≤ 2θ ≤ 90°:
2θ 22.04, d = 4.033 Å, rel. 36; 2θ 30.08, d = 2.971 Å, rel. 100; 2θ 35.32, d = 2.541 Å, rel. 31; 2θ 35.44, d = 2.533 Å, rel. 60; 2θ 42.13, d = 2.145 Å, rel. 28; 2θ 47.08, d = 1.930 Å, rel. 19; 2θ 58.48, d = 1.578 Å, rel. 43; 2θ 60.35, d = 1.534 Å, rel. 18

***

Structure and theoretical powder X-ray diffraction pattern of DyAlZn17 (DFT lattice parameters and positions (GGA-PBE); Cu Kα X-rays).
Intensities are scaled so that the largest is 100.

```
DyAlZn17
1.0
4.443 2.565 4.477
-4.443 2.565 4.477
0.000 -5.131 4.477
Dy Al Zn
1 1 17
Cartesian
0.000 0.000 0.000 Dy
0.000 0.000 10.039 Al
-1.533 -2.393 4.488 Zn
-2.838 -0.131 4.488 Zn
-2.235 -1.290 6.905 Zn
0.000 0.000 3.220 Zn
0.000 -2.622 6.613 Zn
-2.271 1.311 6.613 Zn
1.533 -2.393 4.488 Zn
-1.306 2.524 4.488 Zn
0.000 0.000 5.844 Zn
-2.201 -1.271 11.170 Zn
2.838 -0.131 4.488 Zn
1.306 2.524 4.488 Zn
2.235 -1.290 6.905 Zn
0.000 2.581 6.905 Zn
2.271 1.311 6.613 Zn
2.201 -1.271 11.170 Zn
0.000 2.541 11.170 Zn
```

Largest 8 diffraction maxima, in order of rising 2θ, 15° ≤ 2θ ≤ 90°:
2θ 34.98, d = 2.565 Å, rel. 24; 2θ 35.47, d = 2.531 Å, rel. 19; 2θ 40.29, d = 2.239 Å, rel. 22; 2θ 40.56, d = 2.224 Å, rel. 100; 2θ 41.01, d = 2.201 Å, rel. 18; 2θ 45.58, d = 1.990 Å, rel. 41; 2θ 73.40, d = 1.290 Å, rel. 14; 2θ 73.89, d = 1.283 Å, rel. 16

***

Structure and theoretical powder X-ray diffraction pattern of TbDy4Al3 (DFT lattice parameters and positions (GGA-PBE); Cu Kα X-rays).
Intensities are scaled so that the largest is 100.

```
TbDy4Al3
1.0
3.370 0.000 0.000
0.000 8.564 0.000
0.000 0.000 14.781
Tb Dy Al
2 8 6
Cartesian
0.000 0.000 0.000 Tb
1.685 4.282 7.390 Tb
0.000 2.601 2.075 Dy
0.000 2.601 12.705 Dy
0.000 5.963 2.075 Dy
0.000 5.963 12.705 Dy
1.685 1.681 5.315 Dy
1.685 1.681 9.465 Dy
1.685 6.882 5.315 Dy
1.685 6.882 9.465 Dy
0.000 0.000 7.390 Al
0.000 4.282 4.687 Al
0.000 4.282 10.093 Al
1.685 0.000 2.703 Al
1.685 0.000 12.077 Al
1.685 4.282 0.000 Al
```

Largest 8 diffraction maxima, in order of rising 2θ, 15° ≤ 2θ ≤ 90°:
2θ 20.78, d = 4.274 Å, rel. 41; 2θ 24.06, d = 3.699 Å, rel. 42; 2θ 27.14, d = 3.286 Å, rel. 56; 2θ 31.97, d = 2.799 Å, rel. 100; 2θ 36.43, d = 2.467 Å, rel. 32; 2θ 37.62, d = 2.391 Å, rel. 27; 2θ 38.60, d = 2.333 Å, rel. 65; 2θ 41.45, d = 2.178 Å, rel. 31

***

Structure and theoretical powder X-ray diffraction pattern of YGa2Ir (DFT lattice parameters and positions (GGA-PBE); Cu Kα X-rays).
Intensities are scaled so that the largest is 100.

```
YGa2Ir
1.0
4.236 0.000 0.000
-2.118 3.669 0.000
0.000 0.000 14.807
Y Ga Ir
3 6 3
Cartesian
0.000 0.000 0.000 Y
0.000 2.446 9.871 Y
2.118 1.223 4.936 Y
0.000 0.000 3.212 Ga
0.000 0.000 11.594 Ga
0.000 2.446 6.659 Ga
0.000 2.446 13.083 Ga
2.118 1.223 1.723 Ga
2.118 1.223 8.148 Ga
0.000 0.000 7.403 Ir
0.000 2.446 2.468 Ir
2.118 1.223 12.339 Ir
```

Largest 8 diffraction maxima, in order of rising 2θ, 15° ≤ 2θ ≤ 90°:
2θ 17.97, d = 4.936 Å, rel. 38; 2θ 27.13, d = 3.287 Å, rel. 27; 2θ 34.42, d = 2.606 Å, rel. 100; 2θ 42.69, d = 2.118 Å, rel. 70; 2θ 46.67, d = 1.946 Å, rel. 20; 2θ 55.94, d = 1.644 Å, rel. 25; 2θ 57.33, d = 1.607 Å, rel. 18; 2θ 72.84, d = 1.299 Å, rel. 22

***

Structure and theoretical powder X-ray diffraction pattern of ZrMnTcP2 (DFT lattice parameters and positions (GGA-PBE); Cu Kα X-rays).
Intensities are scaled so that the largest is 100.

```
ZrMnTcP2
1.0
4.364 0.000 0.000
0.000 4.364 0.000
0.000 0.000 4.433
Zr Mn Tc P
1 1 1 2
Cartesian
0.000 0.000 0.000 Zr
2.182 2.182 2.216 Mn
2.182 2.182 0.000 Tc
0.000 2.182 2.216 P
2.182 0.000 2.216 P
```

Largest 8 diffraction maxima, in order of rising 2θ, 15° ≤ 2θ ≤ 90°:
2θ 28.94, d = 3.086 Å, rel. 77; 2θ 35.45, d = 2.532 Å, rel. 100; 2θ 40.71, d = 2.216 Å, rel. 41; 2θ 41.38, d = 2.182 Å, rel. 78; 2θ 50.71, d = 1.800 Å, rel. 32; 2θ 59.45, d = 1.555 Å, rel. 51; 2θ 59.96, d = 1.543 Å, rel. 25; 2θ 75.01, d = 1.266 Å, rel. 25

***

Structure and theoretical powder X-ray diffraction pattern of Ca3Tl5 (DFT lattice parameters and positions (GGA-PBE); Cu Kα X-rays).
Intensities are scaled so that the largest is 100.

```
Ca3Tl5
1.0
9.447 0.000 0.000
-4.724 8.181 0.000
0.000 0.000 6.396
Ca Tl
6 10
Cartesian
-1.864 3.229 1.599 Ca
-2.859 4.953 4.797 Ca
3.728 0.000 1.599 Ca
1.864 3.229 4.797 Ca
5.719 0.000 4.797 Ca
2.859 4.953 1.599 Ca
-1.047 1.813 4.797 Tl
-3.677 6.369 1.599 Tl
2.093 0.000 4.797 Tl
1.047 1.813 1.599 Tl
0.000 5.454 0.000 Tl
0.000 5.454 3.198 Tl
4.724 2.727 0.000 Tl
4.724 2.727 3.198 Tl
7.354 0.000 1.599 Tl
3.677 6.369 4.797 Tl
```

Largest 8 diffraction maxima, in order of rising 2θ, 15° ≤ 2θ ≤ 90°:
2θ 21.73, d = 4.091 Å, rel. 26; 2θ 28.87, d = 3.092 Å, rel. 57; 2θ 30.00, d = 2.978 Å, rel. 49; 2θ 32.15, d = 2.784 Å, rel. 100; 2θ 33.85, d = 2.648 Å, rel. 59; 2θ 47.88, d = 1.900 Å, rel. 28; 2θ 51.16, d = 1.785 Å, rel. 29; 2θ 52.11, d = 1.755 Å, rel. 26